No. 1
Diffraction record for Nb3SI3Br3Cl. The XRD peak list is calculated, not measured: it uses a DFT-relaxed cell (PBE, OQMD) and Cu Kα (weighted mean of Kα1 and Kα2).

Cell and atoms:
```
data_Nb3SI3Br3Cl
_chemical_formula_sum 'Nb3 S1 I3 Br3 Cl1'
_symmetry_space_group_name_H-M 'P 3 m 1'
_symmetry_Int_Tables_number 156
_cell_length_a 7.3121
_cell_length_b 7.3121
_cell_length_c 6.8570
_cell_angle_alpha 90.00
_cell_angle_beta 90.00
_cell_angle_gamma 120.00
loop_
_symmetry_equiv_pos_as_xyz
'x,y,z'
'-y,x-y,z'
'-x+y,-x,z'
'-y,-x,z'
'-x+y,y,z'
'x,x-y,z'
loop_
_atom_site_label
_atom_site_type_symbol
_atom_site_fract_x
_atom_site_fract_y
_atom_site_fract_z
Nb1 Nb 0.1973 0.3946 0.0000
S1 S 0.3333 0.6667 0.7534
I1 I 0.5038 0.0075 0.2777
Br1 Br 0.3365 0.1682 0.7905
Cl1 Cl 0.0000 0.0000 0.1718
```

Largest 8 diffraction maxima, sorted by position, 2θ = 5–70°:
hkl 0 0 1, d 6.857, I 369
hkl 0 1 1, d 4.652, I 210
hkl 2 0 1, d 2.875, I 1000
hkl 2 0 2, d 2.326, I 444
hkl 1 2 1, d 2.260, I 142
hkl 0 2 3, d 1.853, I 239
hkl 2 2 0, d 1.828, I 232
hkl 0 4 1, d 1.543, I 128


No. 2
Diffraction record for Mo4PSN2. The XRD peak list is calculated, not measured: it uses a DFT-relaxed cell (PBE, OQMD) and Cu Kα (weighted mean of Kα1 and Kα2).

Cell and atoms:
```
data_Mo4PSN2
_chemical_formula_sum 'Mo4 P1 S1 N2'
_symmetry_space_group_name_H-M 'P -6 m 2'
_symmetry_Int_Tables_number 187
_symmetry_space_group_name_Hall 'P -6 2'
_cell_length_a 3.0211
_cell_length_b 3.0211
_cell_length_c 12.4170
_cell_angle_alpha 90.00
_cell_angle_beta 90.00
_cell_angle_gamma 120.00
loop_
_atom_site_label
_atom_site_type_symbol
_atom_site_fract_x
_atom_site_fract_y
_atom_site_fract_z
Mo1 Mo 0.0000 0.0000 0.1399
Mo2 Mo 0.6667 0.3333 0.3561
P1 P 0.6667 0.3333 0.0000
S1 S 0.0000 0.0000 0.5000
N1 N 0.3333 0.6667 0.2501
```

Largest 8 diffraction maxima, sorted by position, 2θ = 5–70°:
hkl 0 0 4, d 3.104, I 238
hkl 1 0 0, d 2.616, I 259
hkl 1 0 1, d 2.560, I 304
hkl 1 0 3, d 2.212, I 1000
hkl 1 0 4, d 2.001, I 170
hkl 1 1 0, d 1.511, I 253
hkl 1 0 7, d 1.468, I 171
hkl 1 1 4, d 1.358, I 120


No. 3
Diffraction record for Cu2Ag7. The XRD peak list is calculated, not measured: it uses a DFT-relaxed cell (PBE, OQMD) and Cu Kα (weighted mean of Kα1 and Kα2).

Cell and atoms:
```
data_Cu2Ag7
_chemical_formula_sum 'Cu4 Ag14'
_symmetry_space_group_name_H-M 'I m m m'
_symmetry_Int_Tables_number 71
_symmetry_space_group_name_Hall '-I 2 2'
_cell_length_a 2.8928
_cell_length_b 3.9858
_cell_length_c 26.0459
_cell_angle_alpha 90.00
_cell_angle_beta 90.00
_cell_angle_gamma 90.00
loop_
_atom_site_label
_atom_site_type_symbol
_atom_site_fract_x
_atom_site_fract_y
_atom_site_fract_z
Cu1 Cu 0.0000 0.0000 0.2252
Ag1 Ag 0.0000 0.0000 0.0000
Ag2 Ag 0.0000 0.0000 0.1168
Ag3 Ag 0.0000 0.0000 0.3251
Ag4 Ag 0.0000 0.0000 0.4416
```

Largest 8 diffraction maxima, sorted by position, 2θ = 5–70°:
hkl 0 0 2, d 13.023, I 25
hkl 0 1 7, d 2.720, I 52
hkl 1 1 0, d 2.341, I 1000
hkl 1 0 7, d 2.284, I 31
hkl 1 0 9, d 2.046, I 315
hkl 0 2 0, d 1.993, I 158
hkl 2 0 0, d 1.447, I 89
hkl 1 2 9, d 1.428, I 184


No. 4
Diffraction record for NdSmBeSi2Au. The XRD peak list is calculated, not measured: it uses a DFT-relaxed cell (PBE, OQMD) and Cu Kα (weighted mean of Kα1 and Kα2).

Cell and atoms:
```
data_NdSmBeSi2Au
_chemical_formula_sum 'Nd1 Sm1 Be1 Si2 Au1'
_symmetry_space_group_name_H-M 'P 3 m 1'
_symmetry_Int_Tables_number 156
_cell_length_a 4.1262
_cell_length_b 4.1262
_cell_length_c 8.5209
_cell_angle_alpha 90.00
_cell_angle_beta 90.00
_cell_angle_gamma 120.00
loop_
_symmetry_equiv_pos_as_xyz
'x,y,z'
'-y,x-y,z'
'-x+y,-x,z'
'-y,-x,z'
'-x+y,y,z'
'x,x-y,z'
loop_
_atom_site_label
_atom_site_type_symbol
_atom_site_fract_x
_atom_site_fract_y
_atom_site_fract_z
Nd1 Nd 0.0000 0.0000 0.0000
Sm1 Sm 0.0000 0.0000 0.4838
Be1 Be 0.6667 0.3333 0.2442
Si1 Si 0.3333 0.6667 0.2443
Si2 Si 0.6667 0.3333 0.7378
Au1 Au 0.3333 0.6667 0.7386
```

Largest 8 diffraction maxima, sorted by position, 2θ = 5–70°:
hkl 0 0 1, d 8.521, I 332
hkl 1 0 0, d 3.573, I 259
hkl 0 1 1, d 3.295, I 219
hkl 0 1 2, d 2.738, I 1000
hkl 0 0 4, d 2.130, I 119
hkl 1 1 0, d 2.063, I 331
hkl 2 0 2, d 1.648, I 219
hkl 1 1 4, d 1.482, I 224


No. 5
Diffraction record for NaFe3Te5. The XRD peak list is calculated, not measured: it uses a DFT-relaxed cell (PBE, OQMD) and Cu Kα (weighted mean of Kα1 and Kα2).

Cell and atoms:
```
data_NaFe3Te5
_chemical_formula_sum 'Na1 Fe3 Te5'
_symmetry_space_group_name_H-M 'P 6/m m m'
_symmetry_Int_Tables_number 191
_symmetry_space_group_name_Hall '-P 6 2'
_cell_length_a 5.7446
_cell_length_b 5.7446
_cell_length_c 7.7619
_cell_angle_alpha 90.00
_cell_angle_beta 90.00
_cell_angle_gamma 120.00
loop_
_atom_site_label
_atom_site_type_symbol
_atom_site_fract_x
_atom_site_fract_y
_atom_site_fract_z
Na1 Na 0.0000 0.0000 0.0000
Fe1 Fe 0.0000 0.5000 0.5000
Te1 Te 0.0000 0.0000 0.5000
Te2 Te 0.3333 0.6667 0.2460
```

Largest 8 diffraction maxima, sorted by position, 2θ = 5–70°:
hkl 0 0 1, d 7.762, I 760
hkl 1 0 0, d 4.975, I 296
hkl 1 0 2, d 3.060, I 785
hkl 1 1 0, d 2.872, I 1000
hkl 1 1 2, d 2.309, I 520
hkl 2 0 2, d 2.094, I 771
hkl 2 1 2, d 1.692, I 276
hkl 1 1 4, d 1.608, I 347


No. 6
Diffraction record for DyErZn6. The XRD peak list is calculated, not measured: it uses a DFT-relaxed cell (PBE, OQMD) and Cu Kα (weighted mean of Kα1 and Kα2).

Cell and atoms:
```
data_DyErZn6
_chemical_formula_sum 'Dy1 Er1 Zn6'
_symmetry_space_group_name_H-M 'P m m 2'
_symmetry_Int_Tables_number 25
_cell_length_a 4.6574
_cell_length_b 6.5624
_cell_length_c 4.6580
_cell_angle_alpha 90.00
_cell_angle_beta 90.00
_cell_angle_gamma 90.00
loop_
_symmetry_equiv_pos_as_xyz
'x,y,z'
'-x,-y,z'
'-x,y,z'
'x,-y,z'
loop_
_atom_site_label
_atom_site_type_symbol
_atom_site_fract_x
_atom_site_fract_y
_atom_site_fract_z
Dy1 Dy 0.0000 0.0000 0.0000
Er1 Er 0.5000 0.5000 0.5089
Zn1 Zn 0.0000 0.2509 0.4994
Zn2 Zn 0.0000 0.5000 0.0006
Zn3 Zn 0.5000 0.0000 0.5081
Zn4 Zn 0.5000 0.2510 0.0095
```

Largest 8 diffraction maxima, sorted by position, 2θ = 5–70°:
hkl 1 1 0, d 3.798, I 141
hkl 1 0 1, d 3.293, I 49
hkl 0 2 0, d 3.281, I 24
hkl 2 0 0, d 2.326, I 1000
hkl 2 1 1, d 1.985, I 50
hkl 0 3 1, d 1.980, I 25
hkl 2 0 2, d 1.647, I 112
hkl 0 4 0, d 1.641, I 55